Ac3Ga3Cu: theoretical powder X-ray diffraction pattern (Cu Ka), based on a PBE-relaxed structure.

Peak list (12 most intense, 2θ = 10–90°, low angle first)
| hkl | d (Å) | I_rel |
| --- | --- | --- |
| 1 1 -1 | 4.250 | 17.0 |
| 2 0 -4 | 3.677 | 29.8 |
| 1 1 -3 | 3.439 | 25.0 |
| 1 1 3 | 3.011 | 80.0 |
| 3 1 -1 | 2.975 | 100.0 |
| 4 0 -2 | 2.929 | 32.6 |
| 0 0 6 | 2.429 | 21.4 |
| 3 1 -5 | 2.395 | 27.2 |
| 0 2 0 | 2.310 | 37.0 |
| 2 2 -4 | 1.956 | 20.1 |
| 4 2 -2 | 1.815 | 29.4 |
| 7 1 -3 | 1.574 | 21.9 |

Structure:
Unit cell a=11.7252 b=4.6207 c=15.5272 alpha=90.00 beta=110.15 gamma=90.00
Space group C2/m (No. 12)
Asymmetric unit:
Ac1 0.0438 0.0000 0.2720 (multiplicity 4)
Ac2 0.1796 0.0000 0.5773 (multiplicity 4)
Ac3 0.1888 0.5000 0.1055 (multiplicity 4)
Ga1 0.0303 0.5000 0.4243 (multiplicity 4)
Ga2 0.0630 0.0000 0.9474 (multiplicity 4)
Ga3 0.1649 0.5000 0.7312 (multiplicity 4)
Cu1 0.0950 0.5000 0.8771 (multiplicity 4)

---

Ac2Ga6Cu3: theoretical powder X-ray diffraction pattern (Cu Ka), based on a PBE-relaxed structure.

Peak list (12 most intense, 2θ = 10–90°, low angle first)
| hkl | d (Å) | I_rel |
| --- | --- | --- |
| 1 1 0 | 3.939 | 14.8 |
| 2 0 0 | 3.411 | 11.2 |
| 1 1 1 | 2.869 | 100.0 |
| 2 0 1 | 2.645 | 12.4 |
| 2 1 0 | 2.579 | 18.8 |
| 3 0 0 | 2.274 | 36.9 |
| 2 1 1 | 2.196 | 33.2 |
| 0 0 2 | 2.094 | 18.8 |
| 2 2 1 | 1.783 | 21.8 |
| 2 1 2 | 1.626 | 9.4 |
| 3 0 2 | 1.541 | 21.6 |
| 4 1 1 | 1.403 | 32.7 |

Structure:
Unit cell a=7.8780 b=7.8780 c=4.1884 alpha=90.00 beta=90.00 gamma=120.00
Space group P-62m (No. 189)
Asymmetric unit:
Ac1 0.3333 0.6667 0.0000 (multiplicity 2)
Ga1 0.0000 0.3089 0.5000 (multiplicity 3)
Ga2 0.0000 0.8099 0.0000 (multiplicity 3)
Cu1 0.0000 0.6422 0.5000 (multiplicity 3)

---

AcGaCu: theoretical powder X-ray diffraction pattern (Cu Ka), based on a PBE-relaxed structure.

Peak list (12 most intense, 2θ = 10–90°, low angle first)
| hkl | d (Å) | I_rel |
| --- | --- | --- |
| 0 2 0 | 3.888 | 14.4 |
| 1 1 0 | 3.803 | 25.9 |
| 0 2 2 | 2.911 | 50.3 |
| 1 1 2 | 2.875 | 100.0 |
| 1 3 0 | 2.228 | 38.8 |
| 0 0 4 | 2.197 | 17.1 |
| 2 0 0 | 2.180 | 18.2 |
| 2 2 0 | 1.902 | 11.0 |
| 0 4 2 | 1.778 | 12.7 |
| 2 2 2 | 1.745 | 22.8 |
| 1 3 4 | 1.564 | 23.3 |
| 2 0 4 | 1.547 | 11.2 |

Structure:
Unit cell a=4.3599 b=7.7751 c=8.7863 alpha=90.00 beta=90.00 gamma=90.00
Space group Immm (No. 71)
Asymmetric unit:
Ac1 0.0000 0.0000 0.2349 (multiplicity 4)
Ga1 0.0000 0.3386 0.0000 (multiplicity 4)
Cu1 0.0000 0.3312 0.5000 (multiplicity 4)